Diffraction record for BaNa4Ti2Si10B2O30. The XRD peak list is theoretical, not measured: it uses a GGA-PBE-relaxed structure and Cu Kα (λ = 1.5418 Å).
Neutral-atom scattering factors, no anomalous dispersion.

Largest 10 diffraction maxima, by angle, 2θ from 5° to 70°:
2θ 10.33, I = 631; 2θ 20.74, I = 1000; 2θ 24.57, I = 290; 2θ 26.12, I = 437; 2θ 26.58, I = 244; 2θ 29.64, I = 278; 2θ 30.46, I = 315; 2θ 31.28, I = 267; 2θ 32.27, I = 201; 2θ 38.82, I = 201

Structural model:
```
49
Lattice="7.3025 0.0000 0.0000 -0.2450 9.8739 0.0000 -0.2804 -4.9083 8.5712" Properties=species:S:1:pos:R:3 pbc="T T T"
Ba 0.0000 0.0000 0.0000
Na 3.3532 5.7779 2.3822
Na 3.4770 1.4934 2.5941
Na 3.3001 3.4723 5.9771
Na 3.4239 -0.8122 6.1890
Ti 3.3428 -3.6545 7.8356
Ti 3.4343 8.6202 0.7356
Si 1.2685 -1.1975 3.1854
Si 1.2857 3.3744 0.6429
Si 1.1863 1.2546 4.9123
Si 1.3022 1.2790 7.9220
Si 1.3199 6.1324 4.9913
Si 5.4572 -1.1667 3.5800
Si 5.4749 3.6867 0.6492
Si 5.5908 3.7111 3.6589
Si 5.4914 1.5913 7.9283
Si 5.5085 6.1631 5.3858
B 1.2885 3.7158 3.4749
B 5.4886 1.2499 5.0963
O -0.1399 3.7727 3.5251
O -0.1924 1.9829 7.9707
O -0.1812 5.9187 5.6728
O 1.2370 7.1366 3.6791
O 1.2252 -0.3544 8.0875
O 1.7640 3.9686 2.0901
O 1.7686 -0.2129 4.4199
O 1.7874 2.3722 3.8982
O 2.0185 -0.7803 1.8223
O 2.0338 1.9869 0.2553
O 1.8979 4.7188 4.3956
O 1.8933 1.5011 6.3869
O 2.2662 4.5038 7.7822
O 2.5504 -3.1081 6.0978
O 2.5829 6.8326 0.4172
O 4.1942 -1.8670 8.1540
O 4.2267 8.0738 2.4734
O 4.5109 0.4619 0.7890
O 4.8838 3.4646 2.1843
O 4.8792 0.2468 4.1756
O 4.7433 2.9788 8.3159
O 4.7586 5.7460 6.7489
O 4.9897 2.5935 4.6730
O 5.0085 5.1786 4.1513
O 5.0131 0.9970 6.4811
O 5.5519 5.3201 0.4838
O 5.5401 -2.1709 4.8921
O 6.9583 -0.9530 2.8984
O 6.9695 2.9828 0.6005
O 6.9170 1.1929 5.0461
```

---

Diffraction record for BaNaYB2O6. The XRD peak list is theoretical, not measured: it uses a GGA-PBE-relaxed structure and Cu Kα (λ = 1.5418 Å).
Neutral-atom scattering factors, no anomalous dispersion.

Largest 10 diffraction maxima, by angle, 2θ from 5° to 70°:
2θ 19.06, I = 342; 2θ 19.53, I = 425; 2θ 22.55, I = 360; 2θ 27.33, I = 259; 2θ 31.14, I = 1000; 2θ 33.04, I = 628; 2θ 43.40, I = 313; 2θ 46.04, I = 256; 2θ 54.18, I = 175; 2θ 57.84, I = 231

Structural model:
```
22
Lattice="2.7108 1.5651 12.0990 -2.7108 1.5651 12.0990 0.0000 -3.1302 12.0990" Properties=species:S:1:pos:R:3 pbc="T T T"
Ba 0.0000 0.0000 3.6950
Ba 0.0000 0.0000 32.6021
Na 0.0000 0.0000 13.9840
Na 0.0000 0.0000 22.3132
Y 0.0000 0.0000 0.0000
Y 0.0000 0.0000 18.1486
B 0.0000 0.0000 7.4778
B 0.0000 0.0000 10.6470
B 0.0000 0.0000 25.6501
B 0.0000 0.0000 28.8193
O -1.5101 -0.8706 16.7152
O -1.2421 0.6294 10.6474
O 0.0760 -1.3904 10.6474
O -0.0011 -1.7431 19.5819
O -1.5090 0.8725 19.5819
O -1.1661 -0.7610 25.6498
O 1.1661 0.7610 10.6474
O 1.5090 -0.8725 16.7152
O 0.0011 1.7431 16.7152
O -0.0760 1.3904 25.6497
O 1.2421 -0.6294 25.6497
O 1.5101 0.8706 19.5819
```

---

Diffraction record for BaNi2B2. The XRD peak list is theoretical, not measured: it uses a GGA-PBE-relaxed structure and Cu Kα (λ = 1.5418 Å).
Neutral-atom scattering factors, no anomalous dispersion.

Largest 10 diffraction maxima, by angle, 2θ from 5° to 70°:
2θ 28.66, I = 185; 2θ 30.64, I = 413; 2θ 31.91, I = 266; 2θ 33.25, I = 1000; 2θ 36.00, I = 214; 2θ 36.48, I = 321; 2θ 38.61, I = 179; 2θ 45.91, I = 484; 2θ 54.84, I = 164; 2θ 67.47, I = 301

Structural model:
```
20
Lattice="8.3299 0.0000 0.0000 0.0000 11.3793 0.0000 0.0000 0.0000 3.2389" Properties=species:S:1:pos:R:3 pbc="T T T"
Ba 1.5018 0.6927 0.0000
Ba 2.6631 6.3824 1.6195
Ba 5.6667 4.9969 1.6195
Ba 6.8281 10.6866 0.0000
Ni 0.1539 3.6246 0.0000
Ni 1.5083 9.0420 1.6195
Ni 2.6566 3.3523 0.0000
Ni 4.0110 9.3143 1.6195
Ni 4.3188 2.0650 1.6195
Ni 5.6733 8.0270 0.0000
Ni 6.8215 2.3374 1.6195
Ni 8.1760 7.7547 0.0000
B 0.1805 4.8864 1.6195
B 1.4050 3.6050 1.6195
B 2.7600 9.2947 0.0000
B 3.9845 10.5760 0.0000
B 4.3454 0.8033 0.0000
B 5.5699 2.0846 0.0000
B 6.9249 7.7743 1.6195
B 8.1494 6.4930 1.6195
```

---

Diffraction record for BaNi2B2. The XRD peak list is theoretical, not measured: it uses a GGA-PBE-relaxed structure and Cu Kα (λ = 1.5418 Å).
Neutral-atom scattering factors, no anomalous dispersion.

Largest 10 diffraction maxima, by angle, 2θ from 5° to 70°:
2θ 23.94, I = 425; 2θ 27.55, I = 607; 2θ 28.09, I = 504; 2θ 28.52, I = 509; 2θ 33.32, I = 427; 2θ 33.60, I = 565; 2θ 34.39, I = 433; 2θ 34.77, I = 1000; 2θ 34.90, I = 549; 2θ 49.39, I = 500

Structural model:
```
20
Lattice="3.7095 0.0000 0.0000 -0.6553 8.0430 0.0000 -0.2884 -3.7286 10.3266" Properties=species:S:1:pos:R:3 pbc="T T T"
Ba 0.0000 0.0000 0.0000
Ba -0.2912 2.2413 2.7067
Ba 1.1525 1.6514 8.0246
Ba 1.2737 4.9125 5.0096
Ni -0.3290 -1.4988 8.0233
Ni -0.2539 0.0172 5.0147
Ni -0.6880 4.2318 7.4021
Ni 0.9061 6.0175 2.0776
Ni 1.5832 -0.2602 3.5597
Ni 1.5436 -1.2194 9.4768
Ni 1.8549 4.2753 0.6320
Ni 3.1234 2.3339 5.6331
B -0.3137 -0.3883 10.0367
B 0.0122 4.7317 0.7900
B 1.5758 -2.6876 7.9782
B 1.5313 -1.2139 7.1852
B 1.5978 -0.2620 5.8566
B 1.5396 1.2051 5.0540
B 2.7476 5.5558 1.9277
B 2.7841 6.9502 3.0042
```

---

Diffraction record for Ba2Ni9B6. The XRD peak list is theoretical, not measured: it uses a GGA-PBE-relaxed structure and Cu Kα (λ = 1.5418 Å).
Neutral-atom scattering factors, no anomalous dispersion.

Largest 10 diffraction maxima, by angle, 2θ from 5° to 70°:
2θ 26.66, I = 206; 2θ 32.17, I = 172; 2θ 35.77, I = 1000; 2θ 36.93, I = 283; 2θ 37.24, I = 171; 2θ 45.17, I = 111; 2θ 51.77, I = 98; 2θ 52.59, I = 334; 2θ 62.02, I = 67; 2θ 64.29, I = 192

Structural model:
```
34
Lattice="5.0198 2.8982 4.8293 -5.0198 2.8982 4.8293 0.0000 -5.7964 4.8293" Properties=species:S:1:pos:R:3 pbc="T T T"
Ba 0.0000 0.0000 1.7801
Ba 0.0000 0.0000 5.4638
Ba 0.0000 0.0000 9.0240
Ba 0.0000 0.0000 12.7077
Ni -2.7167 -1.3808 6.0460
Ni -0.1626 -2.7533 3.6313
Ni -2.3031 1.5174 3.6313
Ni -2.6831 1.1491 6.0366
Ni -2.3367 -1.7491 8.4512
Ni 0.3464 -2.8982 6.0366
Ni -0.1626 -3.0432 8.4418
Ni -2.5542 1.6624 8.4418
Ni -2.4657 -1.2358 10.8565
Ni 2.4657 1.2358 3.6313
Ni 2.5542 -1.6624 6.0460
Ni 0.1626 3.0432 6.0460
Ni -0.3464 2.8982 8.4512
Ni 2.3367 1.7491 6.0366
Ni 2.6831 -1.1491 8.4512
Ni 2.3031 -1.5174 10.8565
Ni 0.1626 2.7533 10.8565
Ni 2.7167 1.3808 8.4418
B -1.5710 -2.8796 5.1661
B -1.5710 -2.9169 6.9071
B -3.3116 -0.0979 7.5807
B -3.2793 -0.0793 9.3217
B -1.7083 2.8003 5.1661
B -1.7406 2.8189 6.9071
B 1.7406 -2.8189 7.5807
B 1.7083 -2.8003 9.3217
B 3.2793 0.0793 5.1661
B 3.3116 0.0979 6.9070
B 1.5710 2.9169 7.5807
B 1.5710 2.8796 9.3217
```

---

Diffraction record for BaB5O10. The XRD peak list is theoretical, not measured: it uses a GGA-PBE-relaxed structure and Cu Kα (λ = 1.5418 Å).
Neutral-atom scattering factors, no anomalous dispersion.

Largest 10 diffraction maxima, by angle, 2θ from 5° to 70°:
2θ 9.34, I = 1000; 2θ 14.94, I = 458; 2θ 18.75, I = 245; 2θ 25.90, I = 540; 2θ 26.16, I = 482; 2θ 28.28, I = 571; 2θ 29.80, I = 259; 2θ 30.26, I = 249; 2θ 33.34, I = 215; 2θ 39.95, I = 220

Structural model:
```
32
Lattice="6.8880 0.0000 0.0000 3.3922 6.0402 0.0000 0.4247 1.8368 9.4673" Properties=species:S:1:pos:R:3 pbc="T T T"
Ba 1.6813 0.8829 1.4020
Ba 9.0236 6.9941 8.0654
B 2.0652 2.9669 7.5361
B 1.9420 1.8209 5.3860
B 3.8133 3.3664 1.4965
B 5.3623 6.4486 7.5484
B 4.4763 4.1073 7.7919
B 6.2285 3.7698 1.6755
B 5.3426 1.4284 1.9190
B 6.8915 4.5107 7.9709
B 8.7628 6.0562 4.0813
B 8.6396 4.9101 1.9312
O 2.5173 3.7782 1.3277
O 1.9036 2.9885 6.0870
O 1.7700 1.7141 4.0286
O 1.6148 1.6858 8.1544
O 4.2662 5.4576 7.7647
O 5.0256 5.6911 4.3433
O 5.5652 6.6735 6.0895
O 3.5254 3.1351 7.8956
O 4.8851 4.2394 1.6766
O 4.0813 2.0168 1.3998
O 6.6236 5.8603 8.0675
O 5.8198 3.6376 7.7907
O 7.1794 4.7419 1.5717
O 5.1397 1.2036 3.3778
O 5.6792 2.1860 5.1241
O 6.4387 2.4194 1.7027
O 9.0901 6.1913 1.3129
O 8.9348 6.1630 5.4388
O 8.8012 4.8885 3.3803
O 8.1875 4.0989 8.1396
```

---

Diffraction record for Ba3B2O6. The XRD peak list is theoretical, not measured: it uses a GGA-PBE-relaxed structure and Cu Kα (λ = 1.5418 Å).
Neutral-atom scattering factors, no anomalous dispersion.

Largest 10 diffraction maxima, by angle, 2θ from 5° to 70°:
2θ 18.90, I = 349; 2θ 24.89, I = 232; 2θ 27.22, I = 1000; 2θ 28.83, I = 509; 2θ 31.44, I = 499; 2θ 42.59, I = 259; 2θ 45.16, I = 345; 2θ 45.29, I = 231; 2θ 46.35, I = 192; 2θ 54.23, I = 189

Structural model:
```
22
Lattice="5.2746 0.0000 0.0000 0.0000 7.1544 0.0000 0.0000 0.0000 10.3044" Properties=species:S:1:pos:R:3 pbc="T T T"
Ba 0.0000 0.0000 0.0000
Ba 0.0000 3.5772 1.9495
Ba 0.0000 3.5772 8.3548
Ba 2.6373 0.0000 3.2027
Ba 2.6373 0.0000 7.1017
Ba 2.6373 3.5772 5.1522
B 0.1503 1.6764 5.1522
B 2.4870 5.2536 0.0000
B 2.7876 1.9008 0.0000
B 5.1243 5.4780 5.1522
O 0.8349 1.8995 3.9421
O 0.8349 1.8995 6.3623
O 1.2028 5.7960 5.1522
O 1.4345 2.2188 0.0000
O 1.8024 5.4767 1.2101
O 1.8024 5.4767 9.0943
O 3.4722 1.6777 1.2101
O 3.4722 1.6777 9.0943
O 3.8401 4.9356 0.0000
O 4.0718 1.3584 5.1522
O 4.4397 5.2550 3.9421
O 4.4397 5.2550 6.3623
```

---

Diffraction record for Ba3B2O6. The XRD peak list is theoretical, not measured: it uses a GGA-PBE-relaxed structure and Cu Kα (λ = 1.5418 Å).
Neutral-atom scattering factors, no anomalous dispersion.

Largest 10 diffraction maxima, by angle, 2θ from 5° to 70°:
2θ 18.49, I = 231; 2θ 26.73, I = 1000; 2θ 32.31, I = 411; 2θ 37.48, I = 95; 2θ 38.82, I = 114; 2θ 42.41, I = 429; 2θ 43.33, I = 84; 2θ 51.37, I = 231; 2θ 54.30, I = 226; 2θ 63.17, I = 100

Structural model:
```
22
Lattice="4.7990 2.7707 4.6392 -4.7990 2.7707 4.6392 0.0000 -5.5414 4.6392" Properties=species:S:1:pos:R:3 pbc="T T T"
Ba -3.1266 0.1260 5.7990
Ba -1.6724 -2.6447 8.1186
Ba 1.4542 -2.7707 5.7990
Ba -1.4542 2.7707 8.1186
Ba 1.6724 2.6447 5.7990
Ba 3.1266 -0.1260 8.1186
B 0.0000 0.0000 1.6061
B 0.0000 0.0000 5.3526
B 0.0000 0.0000 8.5649
B 0.0000 0.0000 12.3114
O -4.1440 -1.5306 7.6789
O -0.7465 -4.3541 6.2387
O -0.7465 -1.1872 5.3593
O -3.3975 2.8236 6.2387
O -0.6549 1.2401 5.3593
O -1.4014 0.0529 8.5583
O 1.4014 -0.0529 5.3593
O 0.6549 -1.2401 8.5583
O 3.3975 -2.8236 7.6789
O 0.7465 1.1872 8.5582
O 0.7465 4.3541 7.6789
O 4.1440 1.5306 6.2387
```